Na2CoP2O7: theoretical powder X-ray diffraction pattern (a wavelength of 1.5418 Å), based on a crystal structure in Alexandria, relaxed with GGA+U.

Structural model:
Unit cell a=5.3033 b=6.5726 c=9.4471 alpha=69.65 beta=73.77 gamma=75.42
Sites, in units of the cell vectors:
Na  0.1430  0.2667  0.4679
Na  0.3532  0.5761  0.7824
Na  0.6468  0.4239  0.2176
Na  0.8570  0.7333  0.5321
Co  0.0909  0.7691  0.1293
Co  0.9091  0.2309  0.8707
P  0.2545  0.2266  0.1141
P  0.4267  0.8030  0.3606
P  0.5733  0.1970  0.6394
P  0.7455  0.7734  0.8859
O  0.0679  0.1150  0.0757
O  0.0997  0.4324  0.1604
O  0.2489  0.6765  0.3287
O  0.2779  0.2564  0.7072
O  0.3310  0.0671  0.2771
O  0.3635  0.7922  0.5297
O  0.4914  0.7335  0.0062
O  0.5086  0.2665  0.9938
O  0.6365  0.2078  0.4703
O  0.6690  0.9329  0.7229
O  0.7221  0.7436  0.2928
O  0.7511  0.3235  0.6713
O  0.9003  0.5676  0.8396
O  0.9321  0.8850  0.9243

Principal peaks in the range 2θ from 10° to 90°, in order of falling intensity:
h k l	two_theta	d (Å)	I (rel.)
1 0 -1	22.3	3.990	100
0 2 0	29.4	3.035	87
1 0 3	32.4	2.767	79
0 0 1	10.2	8.657	57
2 1 1	34.3	2.617	46
1 2 2	30.2	2.960	43
1 2 3	34.6	2.596	29
-1 1 1	26.7	3.335	28
0 1 1	15.1	5.861	27
-1 1 2	32.1	2.792	25
1 0 4	41.8	2.162	22
0 1 5	50.3	1.814	20